Simulated XRD peak list
Compound: Cs2Na2Au
Radiation: Cu Kα X-rays
Structure: DFT lattice parameters and positions (PBE)
Intensities are scaled so that the largest is 100.

Most intense lines, 10 to 90 degrees two-theta, in order of falling intensity:
- 26.7 deg, I = 100, (1 0 5)
- 28.2 deg, I = 65, (1 1 2)
- 32.4 deg, I = 55, (1 0 7)
- 27.2 deg, I = 43, (1 1 0)
- 47.8 deg, I = 41, (2 1 5)
- 22.1 deg, I = 39, (1 0 3)
- 38.9 deg, I = 31, (2 0 0)
- 51.5 deg, I = 30, (2 1 7)
- 45.2 deg, I = 21, (0 0 12)
- 61.1 deg, I = 20, (2 0 12)

Structural model:
```
data_Cs2Na2Au
_space_group_name_H-M_alt 'I 4/m m m'
_space_group_IT_number 139
_space_group_name_Hall '-I 4 2'
_cell_length_a 4.634
_cell_length_b 4.634
_cell_length_c 24.098
_cell_angle_alpha 90.00
_cell_angle_beta 90.00
_cell_angle_gamma 90.00
loop_
_atom_site_label
_atom_site_fract_x
_atom_site_fract_y
_atom_site_fract_z
_atom_site_occupancy
Cs1 0.000 0.000 0.085 1
Na1 0.000 0.500 0.250 1
Au1 0.000 0.000 0.500 1
```